# 1
For Ce, the GGA-PBE geometry in the Materials Project gives the computed powder diffractogram in this record (Cu Kα (weighted mean of Kα1 and Kα2)).

Cell and atoms:
Unit cell a=3.369 b=3.369 c=11.174 alpha=90.00 beta=90.00 gamma=120.00
Positions (direct):
Ce  0.000  0.000  0.000
Ce  0.000  0.000  0.500
Ce  0.333  0.667  0.250
Ce  0.667  0.333  0.750

Principal peaks in the range 15° ≤ 2θ ≤ 90°, low angle first:
2theta, I_rel
31.69, 42
32.04, 37
34.68, 100
39.22, 24
54.46, 24
64.60, 29


# 2
For Ce, the GGA-PBE geometry in the Materials Project gives the computed powder diffractogram in this record (Cu Kα (weighted mean of Kα1 and Kα2)).

Cell and atoms:
Unit cell a=3.338 b=3.338 c=3.338 alpha=60.00 beta=60.00 gamma=60.00
Positions (direct):
Ce  0.000  0.000  0.000

Principal peaks in the range 15° ≤ 2θ ≤ 90°, low angle first:
2theta, I_rel
32.86, 100
38.13, 50
55.02, 34
65.59, 40
68.91, 12
81.58, 6


# 3
For Ce, the GGA-PBE geometry in the Materials Project gives the computed powder diffractogram in this record (Cu Kα (weighted mean of Kα1 and Kα2)).

Cell and atoms:
Unit cell a=3.330 b=3.330 c=5.771 alpha=106.82 beta=106.82 gamma=59.88
Positions (direct):
Ce  0.245  0.245  0.250
Ce  0.755  0.755  0.750

Principal peaks in the range 15° ≤ 2θ ≤ 90°, low angle first:
2theta, I_rel
32.95, 100
38.23, 50
55.16, 29
65.75, 27
65.85, 13
69.11, 12


# 4
For Ce, the GGA-PBE geometry in the Materials Project gives the computed powder diffractogram in this record (Cu Kα (weighted mean of Kα1 and Kα2)).

Cell and atoms:
Unit cell a=3.261 b=3.261 c=5.756 alpha=90.00 beta=90.00 gamma=120.00
Positions (direct):
Ce  0.333  0.667  0.250
Ce  0.667  0.333  0.750

Principal peaks in the range 15° ≤ 2θ ≤ 90°, low angle first:
2theta, I_rel
31.07, 32
31.68, 22
35.40, 100
56.43, 17
58.12, 24
65.83, 22


# 5
For Ce, the GGA-PBE geometry in the Materials Project gives the computed powder diffractogram in this record (Cu Kα (weighted mean of Kα1 and Kα2)).

Cell and atoms:
Unit cell a=3.473 b=3.473 c=5.281 alpha=90.00 beta=90.00 gamma=125.38
Positions (direct):
Ce  0.101  0.899  0.750
Ce  0.899  0.101  0.250

Principal peaks in the range 15° ≤ 2θ ≤ 90°, low angle first:
2theta, I_rel
31.59, 84
33.63, 100
33.95, 54
35.98, 64
47.05, 55
55.97, 46


# 6
For Cs3CeCl6, the GGA-PBE geometry in the Materials Project gives the computed powder diffractogram in this record (Cu Kα (weighted mean of Kα1 and Kα2)).

Cell and atoms:
Unit cell a=8.542 b=8.542 c=8.542 alpha=60.00 beta=60.00 gamma=60.00
Positions (direct):
Cs  0.000  0.000  0.000
Cs  0.250  0.250  0.250
Cs  0.750  0.750  0.750
Ce  0.500  0.500  0.500
Cl  0.272  0.272  0.728
Cl  0.272  0.728  0.272
Cl  0.272  0.728  0.728
Cl  0.728  0.272  0.272
Cl  0.728  0.272  0.728
Cl  0.728  0.728  0.272

Principal peaks in the range 15° ≤ 2θ ≤ 90°, low angle first:
2theta, I_rel
20.80, 100
29.58, 54
36.44, 46
42.32, 38
47.61, 25
57.05, 28


# 7
For Cs2CeCl6, the GGA-PBE geometry in the Materials Project gives the computed powder diffractogram in this record (Cu Kα (weighted mean of Kα1 and Kα2)).

Cell and atoms:
Unit cell a=7.771 b=7.771 c=6.176 alpha=90.00 beta=90.00 gamma=120.00
Positions (direct):
Cs  0.333  0.667  0.253
Cs  0.667  0.333  0.747
Ce  0.000  0.000  0.000
Cl  0.163  0.327  0.763
Cl  0.163  0.837  0.763
Cl  0.327  0.163  0.237
Cl  0.673  0.837  0.763
Cl  0.837  0.163  0.237
Cl  0.837  0.673  0.237

Principal peaks in the range 15° ≤ 2θ ≤ 90°, low angle first:
2theta, I_rel
19.51, 74
22.89, 56
30.25, 100
38.27, 26
39.61, 35
46.76, 28


# 8
For Cs2CeCuCl6, the GGA-PBE geometry in the Materials Project gives the computed powder diffractogram in this record (Cu Kα (weighted mean of Kα1 and Kα2)).

Cell and atoms:
Unit cell a=7.573 b=7.573 c=7.573 alpha=60.00 beta=60.00 gamma=60.00
Positions (direct):
Cs  0.250  0.250  0.250
Cs  0.750  0.750  0.750
Ce  0.000  0.000  0.000
Cu  0.500  0.500  0.500
Cl  0.258  0.258  0.742
Cl  0.258  0.742  0.258
Cl  0.258  0.742  0.742
Cl  0.742  0.258  0.258
Cl  0.742  0.258  0.742
Cl  0.742  0.742  0.258

Principal peaks in the range 15° ≤ 2θ ≤ 90°, low angle first:
2theta, I_rel
23.50, 100
33.47, 60
41.30, 46
48.06, 41
54.17, 21
65.19, 24


# 9
For Cs2NaCeCl6, the GGA-PBE geometry in the Materials Project gives the computed powder diffractogram in this record (Cu Kα (weighted mean of Kα1 and Kα2)).

Cell and atoms:
Unit cell a=7.857 b=7.857 c=7.857 alpha=60.00 beta=60.00 gamma=60.00
Positions (direct):
Cs  0.250  0.250  0.250
Cs  0.750  0.750  0.750
Na  0.000  0.000  0.000
Ce  0.500  0.500  0.500
Cl  0.252  0.252  0.748
Cl  0.252  0.748  0.252
Cl  0.252  0.748  0.748
Cl  0.748  0.252  0.252
Cl  0.748  0.252  0.748
Cl  0.748  0.748  0.252

Principal peaks in the range 15° ≤ 2θ ≤ 90°, low angle first:
2theta, I_rel
22.63, 100
27.81, 33
32.22, 69
39.74, 47
46.21, 47
62.55, 25


# 10
For K2CeCuCl6, the GGA-PBE geometry in the Materials Project gives the computed powder diffractogram in this record (Cu Kα (weighted mean of Kα1 and Kα2)).

Cell and atoms:
Unit cell a=7.458 b=7.458 c=7.458 alpha=60.00 beta=60.00 gamma=60.00
Positions (direct):
K  0.250  0.250  0.250
K  0.750  0.750  0.750
Ce  0.000  0.000  0.000
Cu  0.500  0.500  0.500
Cl  0.260  0.260  0.740
Cl  0.260  0.740  0.260
Cl  0.260  0.740  0.740
Cl  0.740  0.260  0.260
Cl  0.740  0.260  0.740
Cl  0.740  0.740  0.260

Principal peaks in the range 15° ≤ 2θ ≤ 90°, low angle first:
2theta, I_rel
16.81, 92
23.86, 94
34.00, 100
38.16, 45
41.97, 42
48.85, 65


# 11
For Na2CeCuCl6, the GGA-PBE geometry in the Materials Project gives the computed powder diffractogram in this record (Cu Kα (weighted mean of Kα1 and Kα2)).

Cell and atoms:
Unit cell a=7.389 b=7.389 c=7.389 alpha=60.00 beta=60.00 gamma=60.00
Positions (direct):
Na  0.250  0.250  0.250
Na  0.750  0.750  0.750
Ce  0.000  0.000  0.000
Cu  0.500  0.500  0.500
Cl  0.261  0.261  0.739
Cl  0.261  0.739  0.261
Cl  0.261  0.739  0.739
Cl  0.739  0.261  0.261
Cl  0.739  0.261  0.739
Cl  0.739  0.739  0.261

Principal peaks in the range 15° ≤ 2θ ≤ 90°, low angle first:
2theta, I_rel
16.97, 100
24.09, 52
34.33, 68
38.53, 47
42.37, 24
49.33, 44


# 12
For Rb2CeCuCl6, the GGA-PBE geometry in the Materials Project gives the computed powder diffractogram in this record (Cu Kα (weighted mean of Kα1 and Kα2)).

Cell and atoms:
Unit cell a=7.499 b=7.499 c=7.499 alpha=60.00 beta=60.00 gamma=60.00
Positions (direct):
Rb  0.250  0.250  0.250
Rb  0.750  0.750  0.750
Ce  0.000  0.000  0.000
Cu  0.500  0.500  0.500
Cl  0.259  0.259  0.741
Cl  0.259  0.741  0.259
Cl  0.259  0.741  0.741
Cl  0.741  0.259  0.259
Cl  0.741  0.259  0.741
Cl  0.741  0.741  0.259

Principal peaks in the range 15° ≤ 2θ ≤ 90°, low angle first:
2theta, I_rel
23.73, 100
33.81, 75
41.72, 46
48.56, 50
54.74, 21
65.91, 24


# 13
For K2NaCeCl6, the GGA-PBE geometry in the Materials Project gives the computed powder diffractogram in this record (Cu Kα (weighted mean of Kα1 and Kα2)).

Cell and atoms:
Unit cell a=7.740 b=7.740 c=7.740 alpha=60.00 beta=60.00 gamma=60.00
Positions (direct):
K  0.250  0.250  0.250
K  0.750  0.750  0.750
Na  0.000  0.000  0.000
Ce  0.500  0.500  0.500
Cl  0.250  0.250  0.750
Cl  0.250  0.750  0.250
Cl  0.250  0.750  0.750
Cl  0.750  0.250  0.250
Cl  0.750  0.250  0.750
Cl  0.750  0.750  0.250

Principal peaks in the range 15° ≤ 2θ ≤ 90°, low angle first:
2theta, I_rel
16.20, 64
22.98, 69
27.02, 40
32.73, 100
36.72, 32
46.96, 66


# 14
For Na2LiCeCl6, the GGA-PBE geometry in the Materials Project gives the computed powder diffractogram in this record (Cu Kα (weighted mean of Kα1 and Kα2)).

Cell and atoms:
Unit cell a=7.421 b=7.421 c=7.421 alpha=60.00 beta=60.00 gamma=60.00
Positions (direct):
Na  0.250  0.250  0.250
Na  0.750  0.750  0.750
Li  0.000  0.000  0.000
Ce  0.500  0.500  0.500
Cl  0.241  0.241  0.759
Cl  0.241  0.759  0.241
Cl  0.241  0.759  0.759
Cl  0.759  0.241  0.241
Cl  0.759  0.241  0.759
Cl  0.759  0.759  0.241

Principal peaks in the range 15° ≤ 2θ ≤ 90°, low angle first:
2theta, I_rel
16.90, 100
28.20, 74
34.17, 96
37.35, 43
38.36, 45
49.10, 62


# 15
For Rb2LiCeCl6, the GGA-PBE geometry in the Materials Project gives the computed powder diffractogram in this record (Cu Kα (weighted mean of Kα1 and Kα2)).

Cell and atoms:
Unit cell a=7.549 b=7.549 c=7.549 alpha=60.00 beta=60.00 gamma=60.00
Positions (direct):
Rb  0.250  0.250  0.250
Rb  0.750  0.750  0.750
Li  0.000  0.000  0.000
Ce  0.500  0.500  0.500
Cl  0.243  0.243  0.757
Cl  0.243  0.757  0.243
Cl  0.243  0.757  0.757
Cl  0.757  0.243  0.243
Cl  0.757  0.243  0.757
Cl  0.757  0.757  0.243

Principal peaks in the range 15° ≤ 2θ ≤ 90°, low angle first:
2theta, I_rel
23.57, 100
27.71, 42
28.97, 42
33.58, 96
41.43, 46
48.22, 64